Starting from a structure optimized by DFT (PBE), the XRD peak list of Y5UP6 was computed for copper Kα.
Peak positions follow from Bragg's law for the DFT cell and can differ from measured ones.

Most intense lines, 2θ from 15° to 90°, in order of rising 2θ:
| 2theta | I_rel |
| --- | --- |
| 15.48 | 9 |
| 27.36 | 63 |
| 31.70 | 100 |
| 45.44 | 71 |
| 53.86 | 31 |
| 56.47 | 25 |
| 66.22 | 11 |
| 73.04 | 9 |
| 75.28 | 32 |
| 83.98 | 24 |

Structure:
```
Y5UP6
1.0
3.457 -5.991 0.000
3.457 5.991 0.000
-2.303 0.000 6.515
Y U P
5 1 6
Direct
0.000 0.000 0.000 Y
0.166 0.834 0.500 Y
0.331 0.669 0.000 Y
0.669 0.331 0.000 Y
0.834 0.166 0.500 Y
0.500 0.500 0.500 U
0.092 0.418 0.254 P
0.257 0.257 0.745 P
0.418 0.092 0.254 P
0.582 0.908 0.746 P
0.743 0.743 0.255 P
0.908 0.582 0.746 P
```

***

Starting from a structure optimized by DFT (PBE), the XRD peak list of KZnPO4 was computed for copper Kα.
Peak positions follow from Bragg's law for the DFT cell and can differ from measured ones.

Most intense lines, 2θ from 15° to 90°, in order of rising 2θ:
| 2theta | I_rel |
| --- | --- |
| 20.23 | 47 |
| 27.56 | 63 |
| 28.02 | 100 |
| 28.17 | 53 |
| 33.41 | 50 |
| 33.79 | 96 |
| 40.28 | 25 |
| 47.02 | 24 |
| 53.64 | 25 |
| 59.97 | 25 |

Structure:
```
KZnPO4
1.0
8.778 0.000 0.000
0.000 9.155 0.000
0.000 0.000 5.364
K Zn P O
4 4 4 16
Direct
0.003 0.222 0.000 K
0.497 0.722 0.500 K
0.503 0.278 0.000 K
0.997 0.778 0.500 K
0.186 0.592 0.994 Zn
0.314 0.092 0.494 Zn
0.686 0.908 0.994 Zn
0.814 0.408 0.494 Zn
0.210 0.427 0.499 P
0.290 0.927 0.999 P
0.710 0.073 0.499 P
0.790 0.573 0.999 P
0.037 0.407 0.522 O
0.218 0.792 0.871 O
0.220 0.950 0.265 O
0.249 0.065 0.841 O
0.251 0.565 0.341 O
0.280 0.450 0.765 O
0.282 0.292 0.371 O
0.463 0.907 0.022 O
0.537 0.093 0.522 O
0.718 0.708 0.871 O
0.720 0.550 0.265 O
0.749 0.435 0.841 O
0.751 0.935 0.341 O
0.780 0.050 0.765 O
0.782 0.208 0.371 O
0.963 0.593 0.022 O
```

***

Starting from a structure optimized by DFT (PBE), the XRD peak list of Ac3AgPd was computed for copper Kα.
Peak positions follow from Bragg's law for the DFT cell and can differ from measured ones.

Most intense lines, 2θ from 15° to 90°, in order of rising 2θ:
| 2theta | I_rel |
| --- | --- |
| 25.06 | 100 |
| 25.83 | 52 |
| 27.45 | 38 |
| 28.48 | 66 |
| 29.39 | 41 |
| 30.32 | 81 |
| 31.49 | 93 |
| 32.96 | 97 |
| 35.55 | 72 |
| 49.39 | 48 |

Structure:
```
Ac3AgPd
1.0
9.868 0.000 0.000
0.000 8.028 0.000
-2.765 0.000 8.683
Ac Ag Pd
12 4 4
Direct
0.068 0.002 0.218 Ac
0.068 0.498 0.718 Ac
0.311 0.156 0.619 Ac
0.311 0.344 0.119 Ac
0.354 0.679 0.500 Ac
0.354 0.821 0.000 Ac
0.646 0.179 0.000 Ac
0.646 0.321 0.500 Ac
0.689 0.656 0.881 Ac
0.689 0.844 0.381 Ac
0.932 0.502 0.282 Ac
0.932 0.998 0.782 Ac
0.060 0.668 0.033 Ag
0.060 0.832 0.533 Ag
0.940 0.168 0.467 Ag
0.940 0.332 0.967 Ag
0.408 0.033 0.330 Pd
0.408 0.467 0.830 Pd
0.592 0.533 0.170 Pd
0.592 0.967 0.670 Pd
```

***

Please write out number 1 again, unchanged.
Starting from a structure optimized by DFT (PBE), the XRD peak list of Y5UP6 was computed for copper Kα.
Peak positions follow from Bragg's law for the DFT cell and can differ from measured ones.

Most intense lines, 2θ from 15° to 90°, in order of rising 2θ:
| 2theta | I_rel |
| --- | --- |
| 15.48 | 9 |
| 27.36 | 63 |
| 31.70 | 100 |
| 45.44 | 71 |
| 53.86 | 31 |
| 56.47 | 25 |
| 66.22 | 11 |
| 73.04 | 9 |
| 75.28 | 32 |
| 83.98 | 24 |

Structure:
```
Y5UP6
1.0
3.457 -5.991 0.000
3.457 5.991 0.000
-2.303 0.000 6.515
Y U P
5 1 6
Direct
0.000 0.000 0.000 Y
0.166 0.834 0.500 Y
0.331 0.669 0.000 Y
0.669 0.331 0.000 Y
0.834 0.166 0.500 Y
0.500 0.500 0.500 U
0.092 0.418 0.254 P
0.257 0.257 0.745 P
0.418 0.092 0.254 P
0.582 0.908 0.746 P
0.743 0.743 0.255 P
0.908 0.582 0.746 P
```

***

Which formula does entry 3 have?
Ac3AgPd